1.
Calculated powder diffractogram
Compound: Pm2Al4CdAg3
Radiation: Cu Kα
Structure: a structure optimized by DFT (GGA-PBE)
Kinematic intensities with the Lorentz-polarization factor, no thermal factor.

Principal peaks in the range 2θ = 10–80°, sorted by position:
(1 1 0), 28.76°, I = 17; (1 1 1), 29.92°, I = 34; (1 0 3), 31.87°, I = 68; (1 1 2), 33.17°, I = 100; (2 0 0), 41.13°, I = 59; (1 0 5), 46.29°, I = 29; (2 1 3), 52.95°, I = 32; (2 2 0), 59.57°, I = 22; (2 1 5), 63.63°, I = 22; (3 1 2), 69.90°, I = 22

Crystal structure
```
10
Lattice="4.390 0.000 0.000 0.000 4.390 0.000 0.000 0.000 10.960" Properties=species:S:1:pos:R:3 pbc="T T T"
Pm 0.000 2.195 2.687
Pm 2.195 0.000 8.273
Al 0.000 0.000 0.000
Al 0.000 2.195 7.057
Al 2.195 0.000 3.903
Al 2.195 2.195 0.000
Cd 0.000 0.000 5.480
Ag 0.000 2.195 9.557
Ag 2.195 0.000 1.403
Ag 2.195 2.195 5.480
```

2.
Calculated powder diffractogram
Compound: Ce6Au2N
Radiation: Cu Kα
Structure: a structure optimized by DFT (GGA-PBE)
Kinematic intensities with the Lorentz-polarization factor, no thermal factor.

Principal peaks in the range 2θ = 10–80°, sorted by position:
(2 0 0), 33.07°, I = 100; (2 0 -4), 33.14°, I = 33; (0 0 4), 33.64°, I = 36; (2 1 0), 36.12°, I = 9; (2 2 -2), 40.59°, I = 35; (2 2 2), 53.63°, I = 14; (2 2 -6), 53.77°, I = 13; (0 4 0), 58.74°, I = 9; (2 0 4), 59.77°, I = 15; (4 2 -2), 69.08°, I = 13

Crystal structure
```
18
Lattice="6.287 0.000 0.000 0.000 6.288 0.000 -6.249 0.000 10.658" Properties=species:S:1:pos:R:3 pbc="T T T"
Ce 1.160 1.515 0.016
Ce -1.964 1.629 5.345
Ce 1.628 4.304 0.019
Ce -1.496 5.127 5.348
Ce -3.133 6.286 8.295
Ce -0.009 3.146 2.966
Ce 3.171 0.002 2.362
Ce 0.047 3.142 7.691
Ce 1.534 1.160 5.310
Ce -1.591 1.983 10.639
Ce 2.002 4.659 5.312
Ce -1.123 4.773 10.641
Au -3.111 3.148 7.994
Au 0.013 6.284 2.665
Au 0.025 0.004 7.993
Au 3.149 3.140 2.664
N 3.143 0.000 0.000
N 0.019 3.144 5.329
```

3.
Calculated powder diffractogram
Compound: Al3Ag5
Radiation: Cu Kα
Structure: a structure optimized by DFT (GGA-PBE)
Kinematic intensities with the Lorentz-polarization factor, no thermal factor.

Principal peaks in the range 2θ = 10–80°, sorted by position:
(1 0 1), 24.50°, I = 28; (1 1 2), 38.25°, I = 100; (1 0 3), 39.51°, I = 8; (0 0 4), 43.69°, I = 17; (2 0 0), 44.83°, I = 31; (2 1 1), 51.75°, I = 7; (2 0 4), 64.39°, I = 20; (2 2 0), 65.27°, I = 10; (1 1 6), 76.61°, I = 12; (3 1 2), 78.25°, I = 25

Crystal structure
```
8
Lattice="4.043 0.000 0.000 0.000 4.043 0.000 0.000 0.000 8.287" Properties=species:S:1:pos:R:3 pbc="T T T"
Al 0.000 0.000 0.000
Al 0.000 2.022 2.127
Al 2.022 0.000 6.160
Ag 0.000 0.000 4.144
Ag 0.000 2.022 6.293
Ag 2.022 0.000 1.994
Ag 2.022 2.022 0.000
Ag 2.022 2.022 4.144
```

- Number 1 is which compound?
  Pm2Al4CdAg3